(1)
Starting from a crystal structure in Alexandria, relaxed with PBE+U, the PXRD pattern of Si4NiO10 was calculated for a wavelength of 1.5418 Å.
Kinematic intensities with the Lorentz-polarization factor, no thermal factor.

Crystal structure
a b c (Å): 10.572 10.579 15.946
angles (deg): 90.00 90.00 90.00
Space group Ccce (No. 68, origin choice 2)
Inequivalent atoms, fractional coordinates:
Si 0.041 0.009 0.153 (multiplicity 16)
Si 0.241 0.208 0.653 (multiplicity 16)
Ni 0.250 0.000 0.403 (multiplicity 8)
O 0.000 0.033 0.250 (multiplicity 8)
O 0.079 0.016 0.411 (multiplicity 16)
O 0.109 0.129 0.645 (multiplicity 16)
O 0.142 0.118 0.125 (multiplicity 16)
O 0.233 0.171 0.911 (multiplicity 16)
O 0.239 0.250 0.250 (multiplicity 8)

Largest 8 diffraction maxima, in order of rising 2θ, 10 to 90 degrees two-theta:
two_theta, I/Imax, index
16.77, 65, 2 0 0
22.30, 100, 0 0 4
23.80, 42, 2 2 0
25.32, 56, 1 1 4
26.33, 30, 2 2 2
28.03, 21, 0 2 4
28.95, 89, 1 3 2
33.91, 25, 4 0 0

(2)
Starting from a crystal structure in Alexandria, relaxed with PBE+U, the PXRD pattern of SmNi2TeO6 was calculated for a wavelength of 1.5418 Å.
Kinematic intensities with the Lorentz-polarization factor, no thermal factor.

Crystal structure
a b c (Å): 5.4692 5.4692 14.2718
angles (deg): 90.00 90.00 120.00
Space group R3 (No. 146, hexagonal axes)
Inequivalent atoms, fractional coordinates:
Sm 0.0000 0.0000 0.0000 (multiplicity 3)
Ni 0.0000 0.0000 0.2753 (multiplicity 3)
Ni 0.0000 0.0000 0.7851 (multiplicity 3)
Te 0.0000 0.0000 0.4821 (multiplicity 3)
O 0.0170 0.3681 0.5425 (multiplicity 9)
O 0.0356 0.6231 0.0524 (multiplicity 9)

Largest 8 diffraction maxima, in order of rising 2θ, 10 to 90 degrees two-theta:
two_theta, I/Imax, index
22.53, 57, 0 1 2
31.39, 100, 1 0 4
32.75, 98, 1 1 0
46.00, 42, 0 2 4
50.88, 41, 2 -1 6
57.61, 40, 3 -1 4
58.46, 30, 3 0 0
68.66, 23, 2 2 0

(3)
Starting from a crystal structure in Alexandria, relaxed with PBE+U, the PXRD pattern of Tl2NiSnO6 was calculated for a wavelength of 1.5418 Å.
Kinematic intensities with the Lorentz-polarization factor, no thermal factor.

Crystal structure
a b c (Å): 9.833 5.667 5.438
angles (deg): 90.00 122.51 90.00
Space group C2 (No. 5)
Inequivalent atoms, fractional coordinates:
Tl 0.249 0.000 0.219 (multiplicity 4)
Ni 0.000 0.481 0.000 (multiplicity 2)
Sn 0.000 0.980 0.500 (multiplicity 2)
O 0.076 0.235 0.822 (multiplicity 4)
O 0.077 0.732 0.835 (multiplicity 4)
O 0.242 0.949 0.601 (multiplicity 4)

Largest 8 diffraction maxima, in order of rising 2θ, 10 to 90 degrees two-theta:
two_theta, I/Imax, index
22.66, 17, 1 1 -1
31.18, 71, 1 1 1
31.60, 100, 3 1 -1
32.95, 23, 2 0 -2
43.67, 16, 4 0 0
46.28, 29, 2 2 -2
54.88, 18, 4 2 0
56.27, 21, 6 0 -2

(4)
Starting from a crystal structure in Alexandria, relaxed with PBE+U, the PXRD pattern of VNi2SnO6 was calculated for a wavelength of 1.5418 Å.
Kinematic intensities with the Lorentz-polarization factor, no thermal factor.

Crystal structure
a b c (Å): 5.647 5.647 4.110
angles (deg): 90.00 90.00 90.00
Space group P4mm (No. 99)
Inequivalent atoms, fractional coordinates:
V 0.000 0.000 0.000 (multiplicity 1)
Ni 0.000 0.500 0.248 (multiplicity 2)
Sn 0.500 0.500 0.040 (multiplicity 1)
O 0.000 0.000 0.597 (multiplicity 1)
O 0.242 0.242 0.122 (multiplicity 4)
O 0.500 0.500 0.561 (multiplicity 1)

Largest 8 diffraction maxima, in order of rising 2θ, 10 to 90 degrees two-theta:
two_theta, I/Imax, index
21.62, 100, 0 0 1
31.23, 68, 1 1 1
31.69, 74, 2 0 0
45.43, 57, 2 2 0
49.91, 55, 1 1 2
50.84, 37, 2 2 1
56.16, 25, 3 1 1
69.77, 38, 3 1 2

(5)
Starting from a crystal structure in Alexandria, relaxed with PBE+U, the PXRD pattern of SrNiO was calculated for a wavelength of 1.5418 Å.
Kinematic intensities with the Lorentz-polarization factor, no thermal factor.

Crystal structure
a b c (Å): 11.688 5.840 3.465
angles (deg): 90.00 90.00 90.00
Space group Pnma (No. 62)
Inequivalent atoms, fractional coordinates:
Sr 0.093 0.250 0.000 (multiplicity 4)
Ni 0.125 0.750 0.496 (multiplicity 4)
O 0.000 0.000 0.500 (multiplicity 4)

Largest 8 diffraction maxima, in order of rising 2θ, 10 to 90 degrees two-theta:
two_theta, I/Imax, index
15.16, 40, 2 0 0
30.61, 78, 0 2 0
30.97, 89, 1 1 1
38.02, 100, 3 1 1
43.83, 38, 4 2 0
54.64, 17, 1 3 1
59.40, 26, 3 3 1
62.31, 20, 0 2 2

(6)
Starting from a crystal structure in Alexandria, relaxed with PBE+U, the PXRD pattern of Sr12Tm3Ni5O24 was calculated for a wavelength of 1.5418 Å.
Kinematic intensities with the Lorentz-polarization factor, no thermal factor.

Crystal structure
a b c (Å): 9.331 9.776 13.503
angles (deg): 90.00 93.82 90.00
Space group C2 (No. 5)
Inequivalent atoms, fractional coordinates:
Sr 0.000 0.000 0.000 (multiplicity 2)
Sr 0.000 0.002 0.500 (multiplicity 2)
Sr 0.000 0.764 0.258 (multiplicity 4)
Sr 0.181 0.456 0.322 (multiplicity 4)
Sr 0.185 0.448 0.813 (multiplicity 4)
Sr 0.186 0.316 0.067 (multiplicity 4)
Sr 0.186 0.324 0.563 (multiplicity 4)
Tm 0.000 0.134 0.253 (multiplicity 4)
Tm 0.000 0.630 0.000 (multiplicity 2)
Ni 0.000 0.641 0.500 (multiplicity 2)
Ni 0.247 0.638 0.622 (multiplicity 4)
Ni 0.250 0.132 0.874 (multiplicity 4)
O 0.060 0.230 0.895 (multiplicity 4)
O 0.063 0.533 0.148 (multiplicity 4)
O 0.066 0.235 0.396 (multiplicity 4)
O 0.066 0.540 0.640 (multiplicity 4)
O 0.125 0.801 0.581 (multiplicity 4)
O 0.125 0.970 0.332 (multiplicity 4)
O 0.128 0.795 0.080 (multiplicity 4)
O 0.128 0.968 0.829 (multiplicity 4)
O 0.223 0.200 0.727 (multiplicity 4)
O 0.224 0.564 0.978 (multiplicity 4)
O 0.226 0.580 0.487 (multiplicity 4)
O 0.229 0.198 0.238 (multiplicity 4)

Largest 8 diffraction maxima, in order of rising 2θ, 10 to 90 degrees two-theta:
two_theta, I/Imax, index
18.16, 25, 0 2 0
26.45, 18, 2 2 0
30.22, 55, 3 1 0
31.72, 100, 2 0 -4
38.69, 27, 4 0 0
43.05, 31, 3 3 2
44.38, 32, 2 4 2
57.89, 25, 5 3 -2